Diffraction record for Na3VO3. The X-ray diffraction stick pattern is calculated, not measured: it uses a GGA+U-relaxed structure and Cu Kα (weighted mean of Kα1 and Kα2).

Cell and atoms:
a b c (Å): 6.1342 10.5025 6.3406
angles (deg): 90.00 92.49 90.00
Sites, in units of the cell vectors:
Na (0.0152, 0.2057, 0.0233)
Na (0.0152, 0.2943, 0.5233)
Na (0.1540, 0.5373, 0.8694)
Na (0.1540, 0.9627, 0.3694)
Na (0.4335, 0.2200, 0.3901)
Na (0.4335, 0.2800, 0.8901)
Na (0.5665, 0.7200, 0.1099)
Na (0.5665, 0.7800, 0.6099)
Na (0.8460, 0.0373, 0.6306)
Na (0.8460, 0.4627, 0.1306)
Na (0.9848, 0.7057, 0.4767)
Na (0.9848, 0.7943, 0.9767)
V (0.3368, 0.5097, 0.3208)
V (0.3368, 0.9903, 0.8208)
V (0.6632, 0.0097, 0.1792)
V (0.6632, 0.4903, 0.6792)
O (0.2089, 0.6543, 0.1948)
O (0.2089, 0.8457, 0.6948)
O (0.2198, 0.1297, 0.6680)
O (0.2198, 0.3703, 0.1680)
O (0.3503, 0.0527, 0.1175)
O (0.3503, 0.4473, 0.6175)
O (0.6497, 0.5527, 0.3825)
O (0.6497, 0.9473, 0.8825)
O (0.7802, 0.6297, 0.8320)
O (0.7802, 0.8703, 0.3320)
O (0.7911, 0.1543, 0.3052)
O (0.7911, 0.3457, 0.8052)

Top 10 peaks for 2θ from 10° to 80°, sorted by position:
2θ 16.9, rel. 39, (0 2 0); 2θ 21.5, rel. 100, (1 1 -1); 2θ 32.4, rel. 44, (1 0 2); 2θ 33.0, rel. 72, (0 2 2); 2θ 33.9, rel. 43, (2 2 0); 2θ 34.1, rel. 33, (0 4 0); 2θ 42.1, rel. 45, (2 3 1); 2θ 45.7, rel. 32, (1 1 -3); 2θ 46.9, rel. 32, (3 1 -1); 2θ 47.8, rel. 36, (1 4 2)